Calculated powder X-ray diffraction pattern of Ba3ThZn2O8 for copper Kα, from the PBE geometry in Alexandria.
Kinematic intensities with the Lorentz-polarization factor, no thermal factor.

Principal peaks in the range 5° ≤ 2θ ≤ 70°, by angle:
index, two_theta, d/Å, intensity
0 0 1, 11.38, 7.773, 24
0 1 2, 28.47, 3.136, 90
1 1 0, 29.14, 3.064, 100
2 0 2, 41.19, 2.191, 45
1 0 4, 49.98, 1.825, 18
1 2 2, 51.25, 1.783, 36
3 0 0, 51.67, 1.769, 20
2 2 0, 60.42, 1.532, 16

```
data_Ba3ThZn2O8
_chemical_formula_sum 'Ba3 Th1 Zn2 O8'
_symmetry_space_group_name_H-M 'P -3 m 1'
_symmetry_Int_Tables_number 164
_symmetry_space_group_name_Hall '-P 3 2"'
_cell_length_a 6.1283
_cell_length_b 6.1283
_cell_length_c 7.7727
_cell_angle_alpha 90.00
_cell_angle_beta 90.00
_cell_angle_gamma 120.00
loop_
_atom_site_label
_atom_site_type_symbol
_atom_site_fract_x
_atom_site_fract_y
_atom_site_fract_z
Ba1 Ba 0.0000 0.0000 0.0000
Ba2 Ba 0.3333 0.6667 0.6496
Th1 Th 0.0000 0.0000 0.5000
Zn1 Zn 0.3333 0.6667 0.2056
O1 O 0.1688 0.3376 0.3236
O2 O 0.3333 0.6667 0.9681
```